Computed XRD peak list
Compound: Y2Tl3Cl9
Radiation: Cu Ka
Structure: a cell relaxed with GGA-PBE

Main lines, low angle first (10 to 90 degrees two-theta):
12.5°, I = 17.7
20.0°, I = 94.5
21.3°, I = 19.2
23.6°, I = 74.0
25.2°, I = 14.6
29.5°, I = 25.5
31.1°, I = 100.0
32.6°, I = 23.9
39.4°, I = 22.1
40.7°, I = 32.0
48.3°, I = 17.7
53.4°, I = 20.6

Crystal structure
Lattice parameters (Å, degrees): 13.0636 13.0636 18.1524 90.00 90.00 120.00
Space group R-3c (No. 167, hexagonal axes)
Symmetry-distinct sites (fractional):
1 Y 0.0000 0.0000 0.1445 x12
2 Tl 0.0000 0.3012 0.2500 x18
3 Cl 0.0000 0.1521 0.7500 x18
4 Cl 0.0241 0.1903 0.4132 x36